The following is a theoretical X-ray diffraction stick pattern of Pm2MgPaRu2. It was derived from a structure optimized by DFT (GGA-PBE), using Cu Kα, 1.54184 Å.
Intensities are scaled so that the largest is 100.

Largest 12 diffraction maxima, sorted by position, 2θ from 10° to 90°:
- 15.29 deg, I = 97.9, hkl 1 1 0
- 23.71 deg, I = 38.8, hkl 1 3 0
- 29.95 deg, I = 67.5, hkl 0 2 2
- 30.86 deg, I = 60.2, hkl 2 2 0
- 31.18 deg, I = 24.2, hkl 1 1 2
- 32.29 deg, I = 96.8, hkl 1 4 1
- 37.54 deg, I = 51.2, hkl 0 4 2
- 38.29 deg, I = 42.7, hkl 2 4 0
- 39.29 deg, I = 100.0, hkl 2 0 2
- 43.71 deg, I = 30.9, hkl 1 6 1
- 44.89 deg, I = 25.7, hkl 1 5 2
- 51.15 deg, I = 26.4, hkl 1 4 3

Cell and atoms:
abc: 6.3736 13.9250 6.6033
angles: 90.00 90.00 90.00
Space group Ibam (No. 72)
Symmetry-distinct sites (fractional):
Pm1 0.2195 0.1829 0.0000 x8
Mg1 0.0000 0.0000 0.2500 x4
Pa1 0.0000 0.5000 0.2500 x4
Ru1 0.2068 0.3929 0.0000 x8



The following is a theoretical X-ray diffraction stick pattern of Dy3CuHg3. It was derived from a structure optimized by DFT (GGA-PBE), using Cu Kα, 1.54184 Å.
Intensities are scaled so that the largest is 100.

Largest 12 diffraction maxima, sorted by position, 2θ from 10° to 90°:
- 27.36 deg, I = 17.2, hkl 0 0 6
- 32.03 deg, I = 100.0, hkl 1 1 2
- 33.36 deg, I = 34.9, hkl 1 0 5
- 35.86 deg, I = 35.7, hkl 1 1 4
- 37.35 deg, I = 60.8, hkl 0 1 7
- 37.93 deg, I = 43.3, hkl 0 2 0
- 41.56 deg, I = 28.7, hkl 1 1 6
- 49.32 deg, I = 20.5, hkl 2 0 0
- 51.39 deg, I = 20.7, hkl 1 2 5
- 63.46 deg, I = 26.9, hkl 2 1 7
- 63.86 deg, I = 19.0, hkl 2 2 0
- 70.99 deg, I = 18.8, hkl 1 2 11

Cell and atoms:
abc: 3.6953 4.7447 19.5576
angles: 90.00 90.00 90.00
Space group Imm2 (No. 44)
Symmetry-distinct sites (fractional):
Dy1 0.0000 0.0000 0.0000 x2
Dy2 0.0000 0.0000 0.3812 x2
Dy3 0.0000 0.5000 0.2025 x2
Cu1 0.0000 0.5000 0.7657 x2
Hg1 0.0000 0.0000 0.5430 x2
Hg2 0.0000 0.0000 0.8375 x2
Hg3 0.0000 0.5000 0.6340 x2



The following is a theoretical X-ray diffraction stick pattern of Na3TcAg. It was derived from a structure optimized by DFT (GGA-PBE), using Cu Kα, 1.54184 Å.
Intensities are scaled so that the largest is 100.

Largest 12 diffraction maxima, sorted by position, 2θ from 10° to 90°:
- 23.07 deg, I = 100.0, hkl 1 1 0
- 32.86 deg, I = 46.5, hkl 2 0 0
- 40.53 deg, I = 44.6, hkl 2 1 1
- 47.15 deg, I = 32.6, hkl 2 2 0
- 53.12 deg, I = 19.8, hkl 3 1 0
- 58.66 deg, I = 10.9, hkl 2 2 2
- 63.89 deg, I = 22.3, hkl 3 2 1
- 68.89 deg, I = 4.9, hkl 4 0 0
- 73.73 deg, I = 11.0, hkl 4 1 1
- 78.45 deg, I = 13.2, hkl 4 2 0
- 83.10 deg, I = 5.4, hkl 3 3 2
- 87.69 deg, I = 9.9, hkl 4 2 2

Cell and atoms:
abc: 5.4519 5.4519 5.4519
angles: 90.00 90.00 90.00
Space group Pm-3m (No. 221)
Symmetry-distinct sites (fractional):
Na1 0.0000 0.0000 0.5000 x3
Tc1 0.5000 0.5000 0.5000 x1
Ag1 0.0000 0.0000 0.0000 x1



Question: Which formula does entry 3 have?
Answer: Na3TcAg